[1]
The following is a calculated X-ray diffraction stick pattern of NaAgBiCl6. It was derived from the PBE geometry in Alexandria, using CuKα.

Largest 10 diffraction maxima, low angle first, 15 to 90 degrees two-theta:
h k l	2θ/deg	I_rel
1 0 2	20.56	71
1 1 0	25.92	32
1 1 2	29.63	100
2 0 2	33.31	21
1 1 4	38.86	85
2 1 2	42.68	22
3 0 0	45.72	40
3 0 2	48.08	21
2 -1 6	51.11	23
4 -2 4	61.51	20

Atomic structure:
Cell: 6.875 6.875 12.553 Å, 90.00 90.00 120.00°
Atoms (fractional coordinates):
Na  0.000  0.000  0.000
Na  0.000  0.000  0.500
Ag  0.333  0.667  0.250
Ag  0.667  0.333  0.750
Bi  0.333  0.667  0.750
Bi  0.667  0.333  0.250
Cl  0.011  0.359  0.129
Cl  0.011  0.652  0.371
Cl  0.348  0.359  0.371
Cl  0.348  0.989  0.129
Cl  0.359  0.011  0.629
Cl  0.359  0.348  0.871
Cl  0.641  0.652  0.129
Cl  0.641  0.989  0.371
Cl  0.652  0.011  0.871
Cl  0.652  0.641  0.629
Cl  0.989  0.348  0.629
Cl  0.989  0.641  0.871

=====

[2]
The following is a calculated X-ray diffraction stick pattern of Ag2BiPbCl8. It was derived from the PBE geometry in Alexandria, using CuKα.

Largest 10 diffraction maxima, low angle first, 15 to 90 degrees two-theta:
h k l	2θ/deg	I_rel
1 0 -1	18.04	100
1 0 1	19.94	82
0 2 1	25.52	47
1 2 0	25.79	61
1 2 -1	28.42	29
1 2 -2	36.27	36
2 2 -1	36.87	42
1 2 2	38.32	31
2 2 1	38.89	40
0 2 3	46.17	33

Atomic structure:
Cell: 6.512 8.164 6.763 Å, 90.00 95.69 90.00°
Atoms (fractional coordinates):
Ag  0.000  0.249  0.000
Ag  0.000  0.751  0.000
Bi  0.500  0.500  0.500
Pb  0.500  0.000  0.500
Cl  0.201  0.000  0.161
Cl  0.206  0.500  0.168
Cl  0.282  0.263  0.672
Cl  0.282  0.737  0.672
Cl  0.718  0.263  0.328
Cl  0.718  0.737  0.328
Cl  0.794  0.500  0.832
Cl  0.799  0.000  0.839

=====

[3]
The following is a calculated X-ray diffraction stick pattern of RbAg2BiCl6. It was derived from the PBE geometry in Alexandria, using CuKα.

Largest 10 diffraction maxima, low angle first, 15 to 90 degrees two-theta:
h k l	2θ/deg	I_rel
1 0 0	16.76	53
1 0 -2	23.07	88
1 1 -1	24.48	100
1 -2 1	28.12	37
0 2 -2	33.89	46
1 1 1	37.10	90
2 -3 1	42.25	42
3 0 -2	43.09	52
2 -1 2	48.92	41
1 4 0	75.04	21

Atomic structure:
Cell: 7.268 7.273 7.737 Å, 90.03 118.01 119.97°
Atoms (fractional coordinates):
Rb  0.000  0.000  0.000
Ag  0.542  0.271  0.812
Ag  0.595  0.798  0.391
Bi  0.945  0.473  0.417
Cl  0.081  0.465  0.150
Cl  0.082  0.200  0.623
Cl  0.424  0.883  0.623
Cl  0.534  0.070  0.149
Cl  0.685  0.616  0.150
Cl  0.741  0.542  0.624

=====

[4]
The following is a calculated X-ray diffraction stick pattern of AgBi2Se3Cl. It was derived from the PBE geometry in Alexandria, using CuKα.

Largest 10 diffraction maxima, low angle first, 15 to 90 degrees two-theta:
h k l	2θ/deg	I_rel
1 0 1	15.27	53
1 0 2	21.84	36
0 0 3	24.57	83
0 1 2	26.97	40
2 1 -1	30.72	95
2 1 0	31.05	100
2 1 1	33.54	52
1 1 -4	38.88	36
2 1 3	43.40	66
0 2 0	43.50	55

Atomic structure:
Cell: 8.221 4.161 11.214 Å, 90.00 103.92 90.00°
Atoms (fractional coordinates):
Ag  0.052  0.250  0.412
Ag  0.948  0.750  0.588
Bi  0.193  0.250  0.937
Bi  0.460  0.750  0.655
Bi  0.540  0.250  0.345
Bi  0.807  0.750  0.063
Se  0.039  0.250  0.150
Se  0.201  0.250  0.664
Se  0.313  0.750  0.408
Se  0.687  0.250  0.592
Se  0.799  0.750  0.336
Se  0.961  0.750  0.850
Cl  0.402  0.750  0.097
Cl  0.598  0.250  0.903